(1)
This entry pairs a crystal structure of MnAl2Si2O10 with its computed powder diffraction line list. Radiation: copper Kα. Structure: the GGA+U geometry in the Materials Project.
No peak broadening, texture or thermal motion is included.

```
data_MnAl2Si2O10
_cell_length_a 13.510
_cell_length_b 19.555
_cell_length_c 5.196
_cell_angle_alpha 90.00
_cell_angle_beta 90.00
_cell_angle_gamma 90.00
_space_group_name_H-M_alt 'C c c e'
_space_group_IT_number 68
loop_
_space_group_symop_operation_xyz
'x,y,z'
'-x,-y,-z'
'-x+1/2,-y,z'
'x+1/2,y,-z'
'x+1/2,-y,-z+1/2'
'-x+1/2,y,z+1/2'
'-x,y,-z+1/2'
'x,-y,z+1/2'
'x+1/2,y+1/2,z'
'-x+1/2,-y+1/2,-z'
'-x,-y+1/2,z'
'x,y+1/2,-z'
'x,-y+1/2,-z+1/2'
'-x,y+1/2,z+1/2'
'-x+1/2,y+1/2,-z+1/2'
'x+1/2,-y+1/2,z+1/2'
loop_
_atom_site_label
_atom_site_type_symbol
_atom_site_fract_x
_atom_site_fract_y
_atom_site_fract_z
_atom_site_occupancy
Mn1 Mn 0.000 0.115 0.250 1
Al1 Al 0.000 0.036 0.750 1
Al2 Al 0.190 0.250 0.250 1
Si1 Si 0.198 0.116 0.573 1
O1 O 0.066 0.040 0.083 1
O2 O 0.078 0.101 0.573 1
O3 O 0.086 0.188 0.147 1
O4 O 0.214 0.198 0.564 1
O5 O 0.247 0.082 0.826 1
```

Principal peaks in the range 10° ≤ 2θ ≤ 90°, by angle:
2θ = 15.95°, I 100, hkl 2 2 0; 2θ = 18.15°, I 55, hkl 0 4 0; 2θ = 18.85°, I 71, hkl 1 1 1; 2θ = 23.44°, I 28, hkl 2 2 1; 2θ = 26.39°, I 44, hkl 4 0 0; 2θ = 29.61°, I 44, hkl 3 3 1; 2θ = 32.93°, I 26, hkl 4 2 1; 2θ = 34.95°, I 35, hkl 3 5 1; 2θ = 35.11°, I 24, hkl 2 6 1; 2θ = 50.14°, I 29, hkl 5 7 1

---

(2)
This entry pairs a crystal structure of MnAl6Si4O19 with its computed powder diffraction line list. Radiation: copper Kα. Structure: the GGA+U geometry in the Materials Project.
No peak broadening, texture or thermal motion is included.

```
data_MnAl6Si4O19
_cell_length_a 9.614
_cell_length_b 5.744
_cell_length_c 11.961
_cell_angle_alpha 90.00
_cell_angle_beta 107.53
_cell_angle_gamma 90.00
_space_group_name_H-M_alt 'P 1 21/m 1'
_space_group_IT_number 11
_space_group_name_Hall '-P 2yb'
loop_
_atom_site_label
_atom_site_type_symbol
_atom_site_fract_x
_atom_site_fract_y
_atom_site_fract_z
_atom_site_occupancy
Mn1 Mn 0.140 0.250 0.379 1
Al1 Al 0.094 0.001 0.835 1
Al2 Al 0.177 0.250 0.096 1
Al3 Al 0.409 0.250 0.865 1
Al4 Al 0.430 0.008 0.308 1
Si1 Si 0.011 0.750 0.415 1
Si2 Si 0.176 0.750 0.094 1
Si3 Si 0.330 0.750 0.471 1
Si4 Si 0.400 0.750 0.851 1
O1 O 0.006 0.014 0.670 1
O2 O 0.031 0.750 0.139 1
O3 O 0.036 0.250 0.165 1
O4 O 0.125 0.250 0.529 1
O5 O 0.168 0.513 0.014 1
O6 O 0.172 0.750 0.510 1
O7 O 0.218 0.250 0.841 1
O8 O 0.223 0.750 0.832 1
O9 O 0.290 0.012 0.396 1
O10 O 0.326 0.750 0.201 1
O11 O 0.332 0.250 0.215 1
O12 O 0.437 0.507 0.791 1
O13 O 0.451 0.750 0.605 1
O14 O 0.482 0.750 0.402 1
O15 O 0.489 0.750 0.989 1
```

Principal peaks in the range 10° ≤ 2θ ≤ 90°, by angle:
2θ = 10.40°, I 40, hkl 1 0 -1; 2θ = 20.67°, I 100, hkl 1 0 2; 2θ = 24.85°, I 39, hkl 2 1 0; 2θ = 25.54°, I 54, hkl 2 0 -3; 2θ = 27.83°, I 53, hkl 3 0 -1; 2θ = 28.69°, I 59, hkl 3 0 -2; 2θ = 39.32°, I 48, hkl 0 2 3; 2θ = 40.68°, I 39, hkl 2 2 -3; 2θ = 58.48°, I 46, hkl 5 2 -3; 2θ = 64.94°, I 45, hkl 0 4 0

---

(3)
This entry pairs a crystal structure of Mn2Al4Si5O18 with its computed powder diffraction line list. Radiation: copper Kα. Structure: the GGA+U geometry in the Materials Project.
No peak broadening, texture or thermal motion is included.

```
data_Mn2Al4Si5O18
_cell_length_a 9.998
_cell_length_b 17.612
_cell_length_c 9.394
_cell_angle_alpha 90.00
_cell_angle_beta 90.00
_cell_angle_gamma 90.00
_space_group_name_H-M_alt 'C c c m'
_space_group_IT_number 66
_space_group_name_Hall '-C 2 2c'
loop_
_atom_site_label
_atom_site_type_symbol
_atom_site_fract_x
_atom_site_fract_y
_atom_site_fract_z
_atom_site_occupancy
Mn1 Mn 0.000 0.163 0.250 1
Al1 Al 0.194 0.047 0.000 1
Al2 Al 0.250 0.250 0.250 1
Si1 Si 0.000 0.000 0.250 1
Si2 Si 0.082 0.312 0.000 1
Si3 Si 0.230 0.365 0.500 1
O1 O 0.074 0.339 0.500 1
O2 O 0.086 0.059 0.151 1
O3 O 0.106 0.258 0.142 1
O4 O 0.186 0.381 0.000 1
O5 O 0.198 0.173 0.358 1
O6 O 0.247 0.455 0.500 1
```

Principal peaks in the range 10° ≤ 2θ ≤ 90°, by angle:
2θ = 10.04°, I 55, hkl 0 2 0; 2θ = 10.17°, I 100, hkl 1 1 0; 2θ = 21.49°, I 62, hkl 1 1 2; 2θ = 25.87°, I 51, hkl 1 3 2; 2θ = 26.03°, I 29, hkl 2 0 2; 2θ = 27.96°, I 22, hkl 2 2 2; 2θ = 28.50°, I 21, hkl 1 5 1; 2θ = 28.64°, I 18, hkl 2 4 1; 2θ = 28.87°, I 21, hkl 3 1 1; 2θ = 53.20°, I 17, hkl 2 6 4

---

(4)
This entry pairs a crystal structure of MnAlSiO5 with its computed powder diffraction line list. Radiation: copper Kα. Structure: the GGA+U geometry in the Materials Project.
No peak broadening, texture or thermal motion is included.

```
data_MnAlSiO5
_cell_length_a 8.093
_cell_length_b 8.207
_cell_length_c 5.724
_cell_angle_alpha 90.00
_cell_angle_beta 90.00
_cell_angle_gamma 90.00
_space_group_name_H-M_alt 'P n n m'
_space_group_IT_number 58
_space_group_name_Hall '-P 2 2n'
loop_
_atom_site_label
_atom_site_type_symbol
_atom_site_fract_x
_atom_site_fract_y
_atom_site_fract_z
_atom_site_occupancy
Mn1 Mn 0.000 0.000 0.245 1
Al1 Al 0.124 0.363 0.000 1
Si1 Si 0.249 0.745 0.000 1
O1 O 0.075 0.139 0.000 1
O2 O 0.075 0.139 0.500 1
O3 O 0.104 0.601 0.000 1
O4 O 0.248 0.855 0.239 1
```

Principal peaks in the range 10° ≤ 2θ ≤ 90°, by angle:
2θ = 15.38°, I 100, hkl 1 1 0; 2θ = 18.95°, I 49, hkl 1 0 1; 2θ = 21.90°, I 19, hkl 1 1 1; 2θ = 31.04°, I 52, hkl 2 2 0; 2θ = 34.61°, I 12, hkl 1 3 0; 2θ = 35.01°, I 58, hkl 3 1 0; 2θ = 38.34°, I 23, hkl 0 2 2; 2θ = 39.99°, I 18, hkl 3 2 0; 2θ = 47.32°, I 15, hkl 1 3 2; 2θ = 60.00°, I 27, hkl 2 4 2

---

(5)
This entry pairs a crystal structure of Sr2YMn2AlO7 with its computed powder diffraction line list. Radiation: copper Kα. Structure: the GGA+U geometry in the Materials Project.
No peak broadening, texture or thermal motion is included.

```
data_Sr2YMn2AlO7
_cell_length_a 22.146
_cell_length_b 5.927
_cell_length_c 5.705
_cell_angle_alpha 90.00
_cell_angle_beta 90.00
_cell_angle_gamma 90.00
_space_group_name_H-M_alt 'I m a 2'
_space_group_IT_number 46
_space_group_name_Hall 'I 2 -2a'
loop_
_atom_site_label
_atom_site_type_symbol
_atom_site_fract_x
_atom_site_fract_y
_atom_site_fract_z
_atom_site_occupancy
Sr1 Sr 0.156 0.030 0.000 1
Y1 Y 0.000 0.000 0.000 1
Mn1 Mn 0.084 0.504 0.007 1
Al1 Al 0.250 0.581 0.981 1
O1 O 0.065 0.201 0.214 1
O2 O 0.072 0.694 0.314 1
O3 O 0.181 0.062 0.527 1
O4 O 0.250 0.677 0.677 1
```

Principal peaks in the range 10° ≤ 2θ ≤ 90°, by angle:
2θ = 21.62°, I 12, hkl 0 1 1; 2θ = 30.16°, I 29, hkl 0 2 0; 2θ = 31.36°, I 32, hkl 0 0 2; 2θ = 32.61°, I 100, hkl 6 1 1; 2θ = 44.06°, I 34, hkl 0 2 2; 2θ = 55.13°, I 21, hkl 6 3 1; 2θ = 56.62°, I 23, hkl 6 1 3; 2θ = 59.70°, I 11, hkl 12 0 2; 2θ = 68.31°, I 11, hkl 12 2 2; 2θ = 73.75°, I 11, hkl 0 2 4

---

(6)
This entry pairs a crystal structure of MnAlW2O8 with its computed powder diffraction line list. Radiation: copper Kα. Structure: the GGA+U geometry in the Materials Project.
No peak broadening, texture or thermal motion is included.

```
data_MnAlW2O8
_cell_length_a 5.128
_cell_length_b 5.701
_cell_length_c 9.304
_cell_angle_alpha 89.47
_cell_angle_beta 88.05
_cell_angle_gamma 88.61
_space_group_name_H-M_alt 'P -1'
_space_group_IT_number 2
_space_group_name_Hall '-P 1'
loop_
_atom_site_label
_atom_site_type_symbol
_atom_site_fract_x
_atom_site_fract_y
_atom_site_fract_z
_atom_site_occupancy
Mn1 Mn 0.250 0.154 0.258 1
Al1 Al 0.245 0.153 0.735 1
W1 W 0.244 0.670 0.001 1
W2 W 0.250 0.662 0.497 1
O1 O 0.063 0.385 0.109 1
O2 O 0.065 0.853 0.138 1
O3 O 0.078 0.381 0.618 1
O4 O 0.122 0.893 0.631 1
O5 O 0.373 0.896 0.876 1
O6 O 0.416 0.389 0.392 1
O7 O 0.429 0.387 0.892 1
O8 O 0.434 0.862 0.354 1
```

Principal peaks in the range 10° ≤ 2θ ≤ 90°, by angle:
2θ = 19.09°, I 100, hkl 0 0 2; 2θ = 23.06°, I 49, hkl 1 1 0; 2θ = 23.63°, I 48, hkl 1 -1 0; 2θ = 24.61°, I 43, hkl 0 1 2; 2θ = 29.63°, I 60, hkl 1 1 2; 2θ = 30.25°, I 60, hkl 1 -1 2; 2θ = 30.58°, I 57, hkl 1 1 -2; 2θ = 30.84°, I 56, hkl -1 1 2; 2θ = 35.03°, I 41, hkl 2 0 0; 2θ = 52.20°, I 41, hkl 2 0 4